Diffraction record for Ac2Sm2Ge3. The XRD peak list is computed, not measured: it uses a PBE-relaxed structure and Cu Kα (λ = 1.5418 Å).
Lines closer than 0.1° are merged.

Structural model:
```
7
Lattice="4.286 0.000 0.000 -2.142 7.046 0.000 -0.011 -1.284 7.884" Properties=species:S:1:pos:R:3 pbc="T T T"
Ac 0.000 1.328 2.879
Ac 2.133 4.434 5.005
Sm 0.000 5.068 0.735
Sm 2.133 0.694 7.149
Ge 0.000 0.000 0.000
Ge -0.010 2.352 5.901
Ge 2.143 3.410 1.983
```

Main lines, by angle (15° ≤ 2θ ≤ 90°):
| (hkl) | 2θ/deg | d (Å) | I/Imax |
| --- | --- | --- | --- |
| 0 1 -2 | 24.1 | 3.694 | 217 |
| 1 0 1 | 25.0 | 3.566 | 413 |
| 0 2 0 | 25.6 | 3.477 | 205 |
| 0 1 2 | 27.7 | 3.215 | 542 |
| 1 1 -1 | 29.4 | 3.039 | 1000 |
| 1 -1 3 | 39.9 | 2.261 | 402 |
| 0 3 -2 | 41.9 | 2.158 | 544 |
| 2 -1 0 | 42.2 | 2.143 | 202 |
| 2 0 2 | 51.2 | 1.783 | 202 |
| 2 -4 2 | 61.0 | 1.520 | 121 |